The following is a computed XRD peak list of InPbSCl. It was derived from DFT lattice parameters and positions (GGA-PBE), using Cu Kα.

Top 6 peaks for 10 to 90 degrees two-theta, in order of rising 2θ:
(hkl)	2θ/deg	intensity
0 1 2	20.7	40
1 0 4	22.5	47
0 1 5	23.7	55
1 0 7	26.7	78
1 1 0	35.2	100
1 1 12	47.0	67

Cell and atoms:
```
data_InPbSCl
_chemical_formula_sum 'In6 Pb6 S6 Cl6'
_space_group_name_H-M_alt 'R -3 m'
_space_group_IT_number 166
_space_group_name_Hall '-R 3 2"'
_cell_length_a 5.1004
_cell_length_b 5.1004
_cell_length_c 35.5759
_cell_angle_alpha 90.00
_cell_angle_beta 90.00
_cell_angle_gamma 120.00
loop_
_atom_site_label
_atom_site_type_symbol
_atom_site_fract_x
_atom_site_fract_y
_atom_site_fract_z
_atom_site_occupancy
In1 In 0.0000 0.0000 0.2133 1
Pb1 Pb 0.0000 0.0000 0.3742 1
S1 S 0.0000 0.0000 0.2975 1
Cl1 Cl 0.0000 0.0000 0.1034 1
```